Entry 1:
This entry pairs a crystal structure of Ca4Mg4Fe3 with its computed powder XRD pattern. Radiation: λ = 1.5418 Å (Cu Kα). Structure: DFT lattice parameters and positions (GGA-PBE).

Top 8 peaks for 2θ = 10–90°, by intensity:
- (2 2 0), 2θ = 38.15°, 2.359 Å, I = 100
- (1 1 1), 2θ = 23.09°, 3.852 Å, I = 77
- (2 1 1), 2θ = 32.88°, 2.724 Å, I = 71
- (3 1 1), 2θ = 45.06°, 2.012 Å, I = 39
- (4 1 1), 2θ = 58.70°, 1.573 Å, I = 27
- (3 1 0), 2θ = 42.86°, 2.110 Å, I = 20
- (2 1 0), 2θ = 29.94°, 2.984 Å, I = 17
- (1 0 0), 2θ = 13.27°, 6.673 Å, I = 16

Structural model:
```
data_Ca4Mg4Fe3
_cell_length_a 6.6727
_cell_length_b 6.6727
_cell_length_c 6.6727
_cell_angle_alpha 90.00
_cell_angle_beta 90.00
_cell_angle_gamma 90.00
_space_group_name_H-M_alt 'P -4 3 m'
_space_group_IT_number 215
_space_group_name_Hall 'P -4 2 3'
loop_
_atom_site_label
_atom_site_fract_x
_atom_site_fract_y
_atom_site_fract_z
Ca1 0.2054 0.2054 0.2054
Mg1 0.3147 0.3147 0.6853
Fe1 0.0000 0.5000 0.5000
```

=====

Entry 2:
This entry pairs a crystal structure of Ca9Fe2N8 with its computed powder XRD pattern. Radiation: λ = 1.5418 Å (Cu Kα). Structure: DFT lattice parameters and positions (GGA-PBE).

Top 8 peaks for 2θ = 10–90°, by intensity:
- (0 2 0), 2θ = 36.48°, 2.463 Å, I = 100
- (5 1 -1), 2θ = 30.38°, 2.942 Å, I = 63
- (1 1 2), 2θ = 32.48°, 2.756 Å, I = 59
- (6 0 1), 2θ = 37.69°, 2.386 Å, I = 41
- (2 0 -1), 2θ = 12.75°, 6.943 Å, I = 37
- (1 1 -1), 2θ = 21.33°, 4.165 Å, I = 33
- (1 1 -2), 2θ = 29.39°, 3.039 Å, I = 32
- (4 0 -3), 2θ = 35.22°, 2.548 Å, I = 31

Structural model:
```
data_Ca9Fe2N8
_cell_length_a 18.4679
_cell_length_b 4.9255
_cell_length_c 7.8205
_cell_angle_alpha 90.00
_cell_angle_beta 111.35
_cell_angle_gamma 90.00
_space_group_name_H-M_alt 'C 1 2/m 1'
_space_group_IT_number 12
loop_
_space_group_symop_operation_xyz
'x,y,z'
'-x,-y,-z'
'-x,y,-z'
'x,-y,z'
'x+1/2,y+1/2,z'
'-x+1/2,-y+1/2,-z'
'-x+1/2,y+1/2,-z'
'x+1/2,-y+1/2,z'
loop_
_atom_site_label
_atom_site_fract_x
_atom_site_fract_y
_atom_site_fract_z
Ca1 0.0000 0.0000 0.0000
Ca2 0.0381 0.5000 0.7344
Ca3 0.0880 0.0000 0.4838
Ca4 0.1732 0.0000 0.9485
Ca5 0.1940 0.5000 0.3189
Fe1 0.1935 0.5000 0.6991
N1 0.0364 0.0000 0.7469
N2 0.1092 0.5000 0.5010
N3 0.1819 0.5000 0.9086
N4 0.2134 0.0000 0.3106
```

=====

Entry 3:
This entry pairs a crystal structure of Ca5FeN4 with its computed powder XRD pattern. Radiation: λ = 1.5418 Å (Cu Kα). Structure: DFT lattice parameters and positions (GGA-PBE).

Top 8 peaks for 2θ = 10–90°, by intensity:
- (0 3 1), 2θ = 37.45°, 2.402 Å, I = 100
- (2 1 1), 2θ = 30.88°, 2.896 Å, I = 96
- (2 2 2), 2θ = 45.80°, 1.981 Å, I = 85
- (2 2 0), 2θ = 33.30°, 2.690 Å, I = 70
- (0 0 2), 2θ = 30.53°, 2.928 Å, I = 57
- (4 3 1), 2θ = 63.78°, 1.459 Å, I = 34
- (2 0 1), 2θ = 28.68°, 3.112 Å, I = 32
- (4 0 0), 2θ = 49.62°, 1.837 Å, I = 31

Structural model:
```
data_Ca5FeN4
_cell_length_a 7.3487
_cell_length_b 7.9001
_cell_length_c 5.8558
_cell_angle_alpha 90.00
_cell_angle_beta 90.00
_cell_angle_gamma 90.00
_space_group_name_H-M_alt 'P m m n'
_space_group_IT_number 59
loop_
_space_group_symop_operation_xyz
'x,y,z'
'-x,-y,-z'
'-x+1/2,-y+1/2,z'
'x+1/2,y+1/2,-z'
'x+1/2,-y,-z'
'-x+1/2,y,z'
'-x,y+1/2,-z'
'x,-y+1/2,z'
loop_
_atom_site_label
_atom_site_fract_x
_atom_site_fract_y
_atom_site_fract_z
Ca1 0.0079 0.0547 0.2416
Ca2 0.2500 0.2500 0.6853
Fe1 0.2500 0.7500 0.3159
N1 0.0272 0.7500 0.1072
N2 0.2500 0.5293 0.4963
```

=====

Entry 4:
This entry pairs a crystal structure of Ca5Fe2N4 with its computed powder XRD pattern. Radiation: λ = 1.5418 Å (Cu Kα). Structure: DFT lattice parameters and positions (GGA-PBE).

Top 8 peaks for 2θ = 10–90°, by intensity:
- (2 1 3), 2θ = 33.03°, 2.712 Å, I = 100
- (3 1 0), 2θ = 35.44°, 2.533 Å, I = 60
- (1 1 0), 2θ = 15.65°, 5.663 Å, I = 28
- (0 0 4), 2θ = 28.73°, 3.107 Å, I = 19
- (3 1 1), 2θ = 36.19°, 2.482 Å, I = 16
- (2 1 1), 2θ = 25.88°, 3.442 Å, I = 14
- (5 2 3), 2θ = 66.82°, 1.400 Å, I = 14
- (0 0 6), 2θ = 43.59°, 2.077 Å, I = 13

Structural model:
```
data_Ca5Fe2N4
_cell_length_a 8.0086
_cell_length_b 8.0086
_cell_length_c 12.4594
_cell_angle_alpha 90.00
_cell_angle_beta 90.00
_cell_angle_gamma 90.00
_space_group_name_H-M_alt 'P 4/n c c'
_space_group_IT_number 130
loop_
_space_group_symop_operation_xyz
'x,y,z'
'-x,-y,-z'
'-y+1/2,x,z'
'y+1/2,-x,-z'
'-x+1/2,-y+1/2,z'
'x+1/2,y+1/2,-z'
'y,-x+1/2,z'
'-y,x+1/2,-z'
'x+1/2,-y,-z+1/2'
'-x+1/2,y,z+1/2'
'-y,-x,-z+1/2'
'y,x,z+1/2'
'-x,y+1/2,-z+1/2'
'x,-y+1/2,z+1/2'
'y+1/2,x+1/2,-z+1/2'
'-y+1/2,-x+1/2,z+1/2'
loop_
_atom_site_label
_atom_site_fract_x
_atom_site_fract_y
_atom_site_fract_z
Ca1 0.0746 0.6314 0.0907
Ca2 0.2500 0.2500 0.1504
Fe1 0.1052 0.6052 0.7500
N1 0.0524 0.6381 0.8929
```

=====

Entry 5:
This entry pairs a crystal structure of Ca11Fe2N10 with its computed powder XRD pattern. Radiation: λ = 1.5418 Å (Cu Kα). Structure: DFT lattice parameters and positions (GGA-PBE).

Top 8 peaks for 2θ = 10–90°, by intensity:
- (1 1 2), 2θ = 21.85°, 4.068 Å, I = 100
- (2 2 0), 2θ = 32.77°, 2.733 Å, I = 96
- (1 3 -3), 2θ = 36.37°, 2.470 Å, I = 95
- (0 4 0), 2θ = 33.77°, 2.654 Å, I = 91
- (0 2 2), 2θ = 22.15°, 4.013 Å, I = 84
- (1 1 -2), 2θ = 21.74°, 4.088 Å, I = 73
- (1 3 1), 2θ = 29.78°, 3.000 Å, I = 65
- (3 3 0), 2θ = 50.07°, 1.822 Å, I = 46

Structural model:
```
data_Ca11Fe2N10
_cell_length_a 6.3738
_cell_length_b 10.6232
_cell_length_c 12.2527
_cell_angle_alpha 90.00
_cell_angle_beta 90.34
_cell_angle_gamma 90.00
_space_group_name_H-M_alt 'C 1 m 1'
_space_group_IT_number 8
loop_
_space_group_symop_operation_xyz
'x,y,z'
'x,-y,z'
'x+1/2,y+1/2,z'
'x+1/2,-y+1/2,z'
loop_
_atom_site_label
_atom_site_fract_x
_atom_site_fract_y
_atom_site_fract_z
Ca1 0.0000 0.0000 0.0000
Ca2 0.0092 0.0000 0.7086
Ca3 0.1038 0.3028 0.0043
Ca4 0.1175 0.3068 0.7390
Ca5 0.1882 0.2129 0.5005
Ca6 0.2119 0.1961 0.2370
Ca7 0.3133 0.5000 0.2570
Fe1 0.3976 0.0000 0.8731
Fe2 0.4150 0.0000 0.3694
N1 0.0376 0.3546 0.3557
N2 0.1505 0.0000 0.3509
N3 0.1709 0.5000 0.8720
N4 0.2644 0.1408 0.8786
N5 0.4057 0.3337 0.1189
N6 0.4144 0.3130 0.6274
```

=====

Entry 6:
This entry pairs a crystal structure of Ca8Fe3N8 with its computed powder XRD pattern. Radiation: λ = 1.5418 Å (Cu Kα). Structure: DFT lattice parameters and positions (GGA-PBE).

Top 8 peaks for 2θ = 10–90°, by intensity:
- (0 2 0), 2θ = 35.89°, 2.502 Å, I = 100
- (1 1 2), 2θ = 33.30°, 2.691 Å, I = 58
- (6 0 0), 2θ = 31.28°, 2.859 Å, I = 52
- (1 1 -1), 2θ = 21.76°, 4.084 Å, I = 35
- (5 1 -2), 2θ = 36.26°, 2.477 Å, I = 27
- (1 1 -2), 2θ = 30.88°, 2.896 Å, I = 27
- (6 0 1), 2θ = 37.25°, 2.414 Å, I = 25
- (5 1 0), 2θ = 31.59°, 2.832 Å, I = 24

Structural model:
```
data_Ca8Fe3N8
_cell_length_a 17.8739
_cell_length_b 5.0039
_cell_length_c 7.1237
_cell_angle_alpha 90.00
_cell_angle_beta 106.07
_cell_angle_gamma 90.00
_space_group_name_H-M_alt 'C 1 2/m 1'
_space_group_IT_number 12
loop_
_space_group_symop_operation_xyz
'x,y,z'
'-x,-y,-z'
'-x,y,-z'
'x,-y,z'
'x+1/2,y+1/2,z'
'-x+1/2,-y+1/2,-z'
'-x+1/2,y+1/2,-z'
'x+1/2,-y+1/2,z'
loop_
_atom_site_label
_atom_site_fract_x
_atom_site_fract_y
_atom_site_fract_z
Ca1 0.0295 0.0000 0.2577
Ca2 0.0928 0.5000 0.9648
Ca3 0.1661 0.5000 0.4694
Ca4 0.1994 0.0000 0.8081
Fe1 0.0000 0.5000 0.5000
Fe2 0.1878 0.0000 0.2065
N1 0.0296 0.5000 0.2716
N2 0.1044 0.0000 0.0040
N3 0.1774 0.0000 0.4425
N4 0.2197 0.5000 0.8315
```

=====

Entry 7:
This entry pairs a crystal structure of Ca2FeN2 with its computed powder XRD pattern. Radiation: λ = 1.5418 Å (Cu Kα). Structure: DFT lattice parameters and positions (GGA-PBE).

Top 8 peaks for 2θ = 10–90°, by intensity:
- (0 2 0), 2θ = 36.19°, 2.482 Å, I = 100
- (1 1 -2), 2θ = 32.88°, 2.724 Å, I = 89
- (3 1 0), 2θ = 34.14°, 2.626 Å, I = 65
- (1 1 -1), 2θ = 22.32°, 3.983 Å, I = 45
- (3 1 -1), 2θ = 30.51°, 2.930 Å, I = 39
- (4 0 -2), 2θ = 34.84°, 2.575 Å, I = 38
- (2 0 2), 2θ = 45.00°, 2.014 Å, I = 36
- (2 2 2), 2θ = 59.06°, 1.564 Å, I = 29

Structural model:
```
data_Ca2FeN2
_cell_length_a 10.8752
_cell_length_b 4.9644
_cell_length_c 6.7137
_cell_angle_alpha 90.00
_cell_angle_beta 121.38
_cell_angle_gamma 90.00
_space_group_name_H-M_alt 'C 1 2/m 1'
_space_group_IT_number 12
loop_
_space_group_symop_operation_xyz
'x,y,z'
'-x,-y,-z'
'-x,y,-z'
'x,-y,z'
'x+1/2,y+1/2,z'
'-x+1/2,-y+1/2,-z'
'-x+1/2,y+1/2,-z'
'x+1/2,-y+1/2,z'
loop_
_atom_site_label
_atom_site_fract_x
_atom_site_fract_y
_atom_site_fract_z
Ca1 0.0412 0.0000 0.2754
Ca2 0.1810 0.5000 0.1022
Fe1 0.1268 0.5000 0.6293
N1 0.0193 0.5000 0.3038
N2 0.1907 0.0000 0.1203
```

=====

Entry 8:
This entry pairs a crystal structure of Ca6FeN5 with its computed powder XRD pattern. Radiation: λ = 1.5418 Å (Cu Kα). Structure: DFT lattice parameters and positions (GGA-PBE).

Top 8 peaks for 2θ = 10–90°, by intensity:
- (1 1 3), 2θ = 36.19°, 2.482 Å, I = 100
- (1 0 2), 2θ = 21.91°, 4.057 Å, I = 93
- (1 1 4), 2θ = 41.26°, 2.188 Å, I = 72
- (2 0 0), 2θ = 33.11°, 2.705 Å, I = 59
- (1 1 1), 2θ = 29.51°, 3.027 Å, I = 50
- (1 0 4), 2θ = 33.59°, 2.668 Å, I = 44
- (3 0 0), 2θ = 50.61°, 1.804 Å, I = 39
- (2 1 1), 2θ = 44.94°, 2.017 Å, I = 28

Structural model:
```
data_Ca6FeN5
_cell_length_a 6.2476
_cell_length_b 6.2476
_cell_length_c 12.2653
_cell_angle_alpha 90.00
_cell_angle_beta 90.00
_cell_angle_gamma 120.00
_space_group_name_H-M_alt 'P 63/m c m'
_space_group_IT_number 193
_space_group_name_Hall '-P 6c 2'
loop_
_atom_site_label
_atom_site_fract_x
_atom_site_fract_y
_atom_site_fract_z
Ca1 0.0000 0.3969 0.1201
Fe1 0.0000 0.0000 0.2500
N1 0.0000 0.2876 0.7500
N2 0.3333 0.6667 0.0000
```